PrNd2Pt9: simulated PXRD pattern (copper Kα), based on DFT lattice parameters and positions (PBE).
No peak broadening, texture or thermal motion is included.

Principal peaks in the range 10° ≤ 2θ ≤ 90°, sorted by position:
- 2θ 19.05, I = 23
- 2θ 32.79, I = 29
- 2θ 38.20, I = 25
- 2θ 38.66, I = 100
- 2θ 40.45, I = 37
- 2θ 41.75, I = 58
- 2θ 45.07, I = 19
- 2θ 62.47, I = 29
- 2θ 68.74, I = 25
- 2θ 82.90, I = 21

```
data_PrNd2Pt9
_chemical_formula_sum 'Pr1 Nd2 Pt9'
_symmetry_space_group_name_H-M 'P 1'
_symmetry_Int_Tables_number 1
_symmetry_space_group_name_Hall 'P 1'
_cell_length_a 9.461
_cell_length_b 9.461
_cell_length_c 9.461
_cell_angle_alpha 33.55
_cell_angle_beta 33.55
_cell_angle_gamma 33.55
loop_
_atom_site_label
_atom_site_fract_x
_atom_site_fract_y
_atom_site_fract_z
_atom_site_occupancy
Pr1 0.000 0.000 0.000 1
Nd1 0.139 0.139 0.139 1
Nd2 0.861 0.861 0.861 1
Pt1 0.081 0.586 0.586 1
Pt2 0.333 0.333 0.333 1
Pt3 0.414 0.414 0.919 1
Pt4 0.414 0.919 0.414 1
Pt5 0.500 0.500 0.500 1
Pt6 0.586 0.081 0.586 1
Pt7 0.586 0.586 0.081 1
Pt8 0.667 0.667 0.667 1
Pt9 0.919 0.414 0.414 1
```